Record 1
# Sc4As3
Computed X-ray diffraction stick pattern, Cu Kα (λ = 1.5418 Å). Input: a DFT-relaxed cell (PBE, Alexandria).

Cell and atoms:
Unit cell a=3.743 b=3.743 c=21.595 alpha=90.00 beta=90.00 gamma=90.00
Element x y z (fractional)
Sc 0.000 0.000 0.065
Sc 0.000 0.000 0.309
Sc 0.000 0.000 0.691
Sc 0.000 0.000 0.935
Sc 0.500 0.500 0.191
Sc 0.500 0.500 0.435
Sc 0.500 0.500 0.565
Sc 0.500 0.500 0.809
As 0.000 0.000 0.184
As 0.000 0.000 0.500
As 0.000 0.000 0.816
As 0.500 0.500 0.000
As 0.500 0.500 0.316
As 0.500 0.500 0.684

Most intense lines, 2θ = 5–70°, in order of falling intensity:
- 2.647 Å, 33.9 deg, I = 100
- 1.872 Å, 48.7 deg, I = 34
- 3.321 Å, 26.8 deg, I = 27
- 1.890 Å, 48.1 deg, I = 26
- 2.020 Å, 44.9 deg, I = 26
- 2.380 Å, 37.8 deg, I = 24
- 3.599 Å, 24.7 deg, I = 23
- 2.132 Å, 42.4 deg, I = 22
- 2.699 Å, 33.2 deg, I = 20
- 1.373 Å, 68.3 deg, I = 14

Record 2
# Sc5As
Computed X-ray diffraction stick pattern, Cu Kα (λ = 1.5418 Å). Input: a DFT-relaxed cell (PBE, Alexandria).

Cell and atoms:
Unit cell a=4.730 b=3.578 c=15.742 alpha=90.00 beta=90.00 gamma=90.00
Element x y z (fractional)
Sc 0.000 0.000 0.000
Sc 0.000 0.000 0.313
Sc 0.000 0.000 0.664
Sc 0.000 0.500 0.164
Sc 0.000 0.500 0.500
Sc 0.000 0.500 0.813
Sc 0.500 0.000 0.126
Sc 0.500 0.000 0.447
Sc 0.500 0.500 0.626
Sc 0.500 0.500 0.947
As 0.500 0.000 0.776
As 0.500 0.500 0.276

Most intense lines, 2θ = 5–70°, in order of falling intensity:
- 2.507 Å, 35.8 deg, I = 100
- 2.365 Å, 38.1 deg, I = 26
- 2.294 Å, 39.3 deg, I = 23
- 2.956 Å, 30.2 deg, I = 16
- 2.624 Å, 34.2 deg, I = 15
- 1.391 Å, 67.3 deg, I = 14
- 7.871 Å, 11.2 deg, I = 11
- 1.789 Å, 51.1 deg, I = 10
- 1.571 Å, 58.8 deg, I = 10
- 1.427 Å, 65.4 deg, I = 9

Record 3
# Sc4AsSe3
Computed X-ray diffraction stick pattern, Cu Kα (λ = 1.5418 Å). Input: a DFT-relaxed cell (PBE, Alexandria).

Cell and atoms:
Unit cell a=7.784 b=10.974 c=3.866 alpha=90.00 beta=90.00 gamma=90.00
Element x y z (fractional)
Sc 0.000 0.243 0.000
Sc 0.000 0.757 0.000
Sc 0.238 0.000 0.500
Sc 0.262 0.500 0.500
Sc 0.500 0.257 0.000
Sc 0.500 0.743 0.000
Sc 0.738 0.500 0.500
Sc 0.762 0.000 0.500
As 0.000 0.000 0.000
As 0.500 0.500 0.000
Se 0.000 0.500 0.000
Se 0.250 0.250 0.500
Se 0.250 0.750 0.500
Se 0.500 0.000 0.000
Se 0.750 0.250 0.500
Se 0.750 0.750 0.500

Most intense lines, 2θ = 5–70°, in order of falling intensity:
- 2.743 Å, 32.6 deg, I = 100
- 1.940 Å, 46.8 deg, I = 46
- 1.587 Å, 58.1 deg, I = 12
- 1.580 Å, 58.4 deg, I = 12
- 1.946 Å, 46.7 deg, I = 12
- 1.933 Å, 47.0 deg, I = 12
- 1.372 Å, 68.4 deg, I = 11
- 3.175 Å, 28.1 deg, I = 8
- 3.160 Å, 28.2 deg, I = 7
- 1.656 Å, 55.5 deg, I = 4

Record 4
# Sc4AsSe4
Computed X-ray diffraction stick pattern, Cu Kα (λ = 1.5418 Å). Input: a DFT-relaxed cell (PBE, Alexandria).

Cell and atoms:
Unit cell a=6.673 b=6.673 c=6.673 alpha=99.77 beta=99.77 gamma=131.34
Element x y z (fractional)
Sc 0.097 0.290 0.387
Sc 0.290 0.903 0.193
Sc 0.710 0.097 0.807
Sc 0.903 0.710 0.613
As 0.000 0.000 0.000
Se 0.199 0.598 0.798
Se 0.402 0.199 0.601
Se 0.598 0.801 0.399
Se 0.801 0.402 0.202

Most intense lines, 2θ = 5–70°, in order of falling intensity:
- 2.719 Å, 32.9 deg, I = 100
- 1.933 Å, 47.0 deg, I = 71
- 2.749 Å, 32.6 deg, I = 51
- 3.151 Å, 28.3 deg, I = 43
- 1.576 Å, 58.6 deg, I = 35
- 1.923 Å, 47.3 deg, I = 34
- 1.641 Å, 56.0 deg, I = 14
- 1.360 Å, 69.1 deg, I = 10
- 1.654 Å, 55.5 deg, I = 7
- 4.632 Å, 19.2 deg, I = 6

Record 5
# Sc8As4Se3
Computed X-ray diffraction stick pattern, Cu Kα (λ = 1.5418 Å). Input: a DFT-relaxed cell (PBE, Alexandria).

Cell and atoms:
Unit cell a=7.694 b=7.694 c=7.687 alpha=119.92 beta=119.92 gamma=90.07
Element x y z (fractional)
Sc 0.245 0.755 0.000
Sc 0.249 0.249 0.495
Sc 0.252 0.252 0.010
Sc 0.253 0.747 0.500
Sc 0.747 0.253 0.500
Sc 0.748 0.748 0.990
Sc 0.751 0.751 0.505
Sc 0.755 0.245 0.000
As 0.000 0.000 0.000
As 0.000 0.500 0.500
As 0.500 0.000 0.500
As 0.500 0.500 0.500
Se 0.000 0.500 0.000
Se 0.500 0.000 0.000
Se 0.500 0.500 0.000

Most intense lines, 2θ = 5–70°, in order of falling intensity:
- 2.721 Å, 32.9 deg, I = 100
- 1.924 Å, 47.2 deg, I = 58
- 1.571 Å, 58.8 deg, I = 23
- 1.922 Å, 47.3 deg, I = 11
- 6.283 Å, 14.1 deg, I = 9
- 3.142 Å, 28.4 deg, I = 8
- 1.361 Å, 69.0 deg, I = 7
- 3.281 Å, 27.2 deg, I = 5
- 5.442 Å, 16.3 deg, I = 4
- 1.641 Å, 56.0 deg, I = 4

Record 6
# Sc4SiAsSe2
Computed X-ray diffraction stick pattern, Cu Kα (λ = 1.5418 Å). Input: a DFT-relaxed cell (PBE, Alexandria).

Cell and atoms:
Unit cell a=6.703 b=3.864 c=6.748 alpha=90.00 beta=109.22 gamma=90.00
Element x y z (fractional)
Sc 0.242 0.000 0.236
Sc 0.250 0.500 0.764
Sc 0.750 0.500 0.236
Sc 0.758 0.000 0.764
Si 0.000 0.500 0.000
As 0.500 0.000 0.000
Se 0.000 0.000 0.500
Se 0.500 0.500 0.500

Most intense lines, 2θ = 5–70°, in order of falling intensity:
- 2.743 Å, 32.6 deg, I = 100
- 1.934 Å, 47.0 deg, I = 34
- 1.945 Å, 46.7 deg, I = 34
- 1.579 Å, 58.4 deg, I = 12
- 1.371 Å, 68.4 deg, I = 10
- 1.582 Å, 58.3 deg, I = 6
- 1.593 Å, 57.9 deg, I = 6
- 3.161 Å, 28.2 deg, I = 5
- 3.301 Å, 27.0 deg, I = 4
- 6.347 Å, 14.0 deg, I = 4

Record 7
# Sc3TeAsSe
Computed X-ray diffraction stick pattern, Cu Kα (λ = 1.5418 Å). Input: a DFT-relaxed cell (PBE, Alexandria).

Cell and atoms:
Unit cell a=7.649 b=7.649 c=6.571 alpha=97.16 beta=97.16 gamma=128.82
Element x y z (fractional)
Sc 0.170 0.313 0.998
Sc 0.249 0.751 0.750
Sc 0.313 0.170 0.498
Sc 0.687 0.830 0.502
Sc 0.751 0.249 0.250
Sc 0.830 0.687 0.002
Te 0.251 0.749 0.250
Te 0.749 0.251 0.750
As 0.063 0.937 0.750
As 0.937 0.063 0.250
Se 0.440 0.560 0.750
Se 0.560 0.440 0.250

Most intense lines, 2θ = 5–70°, in order of falling intensity:
- 2.988 Å, 29.9 deg, I = 100
- 2.644 Å, 33.9 deg, I = 64
- 3.163 Å, 28.2 deg, I = 34
- 3.146 Å, 28.4 deg, I = 33
- 2.300 Å, 39.2 deg, I = 31
- 1.985 Å, 45.7 deg, I = 30
- 1.976 Å, 45.9 deg, I = 30
- 3.471 Å, 25.7 deg, I = 27
- 1.965 Å, 46.2 deg, I = 26
- 1.735 Å, 52.8 deg, I = 25

Record 8
# ThScAsSe
Computed X-ray diffraction stick pattern, Cu Kα (λ = 1.5418 Å). Input: a DFT-relaxed cell (PBE, Alexandria).

Cell and atoms:
Unit cell a=4.040 b=4.040 c=20.178 alpha=90.00 beta=90.00 gamma=120.00
Element x y z (fractional)
Th 0.000 0.000 0.000
Th 0.333 0.667 0.667
Th 0.667 0.333 0.333
Sc 0.000 0.000 0.508
Sc 0.333 0.667 0.175
Sc 0.667 0.333 0.842
As 0.000 0.000 0.244
As 0.333 0.667 0.911
As 0.667 0.333 0.578
Se 0.000 0.000 0.763
Se 0.333 0.667 0.429
Se 0.667 0.333 0.096

Most intense lines, 2θ = 5–70°, in order of falling intensity:
- 2.875 Å, 31.1 deg, I = 100
- 2.020 Å, 44.9 deg, I = 37
- 2.046 Å, 44.3 deg, I = 35
- 3.447 Å, 25.8 deg, I = 31
- 6.726 Å, 13.2 deg, I = 30
- 2.644 Å, 33.9 deg, I = 23
- 1.653 Å, 55.6 deg, I = 19
- 1.501 Å, 61.8 deg, I = 11
- 1.438 Å, 64.9 deg, I = 11
- 3.306 Å, 27.0 deg, I = 10